Starting from the PBE geometry in Alexandria, the PXRD pattern of Rb3Tl4Pb was simulated for λ = 1.5418 Å (Cu Kα).
Intensities are scaled so that the largest is 100.

Main lines, sorted by position (2θ = 10–90°):
2theta	I (rel.)
15.14	80.3
26.90	68.8
29.26	100.0
31.09	51.7
33.53	28.9
35.71	21.8
43.50	26.7
49.01	26.0

Atomic structure:
Unit cell a=7.1522 b=7.1522 c=8.1572 alpha=99.38 beta=99.38 gamma=55.21
Atoms (fractional coordinates):
Rb (0.0000, 0.0000, 0.0000)
Rb (0.1595, 0.1656, 0.5305)
Rb (0.8344, 0.8405, 0.4695)
Tl (0.3048, 0.3060, 0.1513)
Tl (0.4107, 0.4109, 0.8294)
Tl (0.5891, 0.5893, 0.1706)
Tl (0.6940, 0.6952, 0.8487)
Pb (0.4969, 0.5031, 0.5000)